For H5W, a crystal structure in the Materials Project, relaxed with PBE gives the theoretical PXRD pattern in this record (Cu Kα (λ = 1.5418 Å)).
Kinematic intensities with the Lorentz-polarization factor, no thermal factor.

Cell and atoms:
Lattice parameters (Å, degrees): 6.1419 3.5912 3.0737 90.00 90.00 90.00
Space group Pma2 (No. 28)
One atom of each set of equivalent atoms:
H 0.0729 0.2268 0.0000 (multiplicity 4)
H 0.1037 0.7951 0.4920 (multiplicity 4)
H 0.2500 0.3369 0.4813 (multiplicity 2)
W 0.2500 0.6335 0.0243 (multiplicity 2)

The 10 most intense peaks (2θ = 10–80°), in order of rising 2θ:
2theta, I/Imax, (hkl)
24.8, 33, 0 1 0
28.8, 57, 1 1 0
29.1, 100, 2 0 0
38.6, 43, 2 1 0
41.4, 43, 1 1 1
41.6, 38, 2 0 1
49.0, 22, 2 1 1
53.1, 19, 1 2 0
61.7, 25, 1 2 1
68.3, 18, 4 0 1

For CsK2AlBr6, a crystal structure in the Materials Project, relaxed with PBE gives the theoretical PXRD pattern in this record (Cu Kα (λ = 1.5418 Å)).
Kinematic intensities with the Lorentz-polarization factor, no thermal factor.

Cell and atoms:
Lattice parameters (Å, degrees): 11.7584 11.7584 11.7584 90.00 90.00 90.00
Space group Fm-3m (No. 225)
One atom of each set of equivalent atoms:
Cs 0.0000 0.0000 0.0000 (multiplicity 4)
K 0.2500 0.2500 0.2500 (multiplicity 8)
Al 0.0000 0.0000 0.5000 (multiplicity 4)
Br 0.0000 0.0000 0.2855 (multiplicity 24)

The 10 most intense peaks (2θ = 10–80°), in order of rising 2θ:
2theta, I/Imax, (hkl)
15.1, 78, 2 0 0
25.1, 25, 3 1 1
26.3, 60, 2 2 2
30.4, 100, 4 0 0
33.2, 51, 3 3 1
34.1, 25, 4 2 0
39.8, 29, 3 3 3
43.5, 59, 4 4 0
60.5, 28, 7 3 1
64.9, 22, 7 3 3

For Er3TlC, a crystal structure in the Materials Project, relaxed with PBE gives the theoretical PXRD pattern in this record (Cu Kα (λ = 1.5418 Å)).
Kinematic intensities with the Lorentz-polarization factor, no thermal factor.

Cell and atoms:
Lattice parameters (Å, degrees): 5.5666 5.5666 5.5666 90.00 90.00 90.00
Space group Pm-3m (No. 221)
One atom of each set of equivalent atoms:
Er 0.0000 0.0000 0.5000 (multiplicity 3)
Tl 0.0000 0.0000 0.0000 (multiplicity 1)
C 0.5000 0.5000 0.5000 (multiplicity 1)

The 10 most intense peaks (2θ = 10–80°), in order of rising 2θ:
2theta, I/Imax, (hkl)
15.9, 100, 1 0 0
27.8, 28, 1 1 1
32.2, 75, 2 0 0
36.1, 55, 2 1 0
46.1, 55, 2 2 0
49.1, 29, 3 0 0
57.3, 19, 2 2 2
59.9, 13, 3 2 0
69.6, 17, 4 1 0
76.5, 25, 4 2 0

For Nd3Co13B2, a crystal structure in the Materials Project, relaxed with PBE gives the theoretical PXRD pattern in this record (Cu Kα (λ = 1.5418 Å)).
Kinematic intensities with the Lorentz-polarization factor, no thermal factor.

Cell and atoms:
Lattice parameters (Å, degrees): 5.0725 5.0725 10.7761 90.00 90.00 120.00
Space group P6/mmm (No. 191)
One atom of each set of equivalent atoms:
Nd 0.0000 0.0000 0.0000 (multiplicity 1)
Nd 0.0000 0.0000 0.3228 (multiplicity 2)
Co 0.0000 0.5000 0.1345 (multiplicity 6)
Co 0.0000 0.5000 0.5000 (multiplicity 3)
Co 0.3333 0.6667 0.3182 (multiplicity 4)
B 0.3333 0.6667 0.0000 (multiplicity 2)

The 10 most intense peaks (2θ = 10–80°), in order of rising 2θ:
2theta, I/Imax, (hkl)
32.2, 71, 1 0 3
35.4, 33, 1 1 0
39.3, 14, 1 1 2
41.1, 62, 2 0 0
43.7, 100, 1 1 3
61.5, 22, 2 1 3
63.5, 19, 1 1 6
67.3, 14, 2 0 6
69.3, 24, 3 0 3
74.9, 20, 2 2 0

For CuP4S3Br, a crystal structure in the Materials Project, relaxed with PBE gives the theoretical PXRD pattern in this record (Cu Kα (λ = 1.5418 Å)).
Kinematic intensities with the Lorentz-polarization factor, no thermal factor.

Cell and atoms:
Lattice parameters (Å, degrees): 6.5240 9.4031 15.8363 97.52 97.95 106.92
Space group P-1 (No. 2)
One atom of each set of equivalent atoms:
Cu 0.9999 0.1080 0.2929 (multiplicity 2)
Cu 0.3514 0.6588 0.5827 (multiplicity 2)
P 0.0135 0.8837 0.3239 (multiplicity 2)
P 0.1214 0.1843 0.1737 (multiplicity 2)
P 0.1356 0.5667 0.3093 (multiplicity 2)
P 0.1405 0.3589 0.0074 (multiplicity 2)
P 0.1479 0.4454 0.6200 (multiplicity 2)
P 0.1915 0.6845 0.4503 (multiplicity 2)
P 0.3475 0.1159 0.0930 (multiplicity 2)
P 0.4611 0.3418 0.1846 (multiplicity 2)
S 0.0748 0.7335 0.9108 (multiplicity 2)
S 0.1336 0.7438 0.2415 (multiplicity 2)
S 0.2182 0.9092 0.4441 (multiplicity 2)
S 0.2513 0.1717 0.9732 (multiplicity 2)
S 0.2748 0.2783 0.6587 (multiplicity 2)
S 0.4090 0.4938 0.1047 (multiplicity 2)
Br 0.2561 0.3031 0.4144 (multiplicity 2)
Br 0.3643 0.8806 0.6919 (multiplicity 2)

The 10 most intense peaks (2θ = 10–80°), in order of rising 2θ:
2theta, I/Imax, (hkl)
10.6, 100, 0 1 -1
17.2, 60, 0 0 3
18.3, 46, 0 1 -3
20.1, 51, 0 2 0
28.6, 46, 2 0 -1
29.3, 76, 2 0 -2
30.3, 56, -1 3 1
30.4, 52, 1 -2 4
31.9, 51, -1 2 4
32.2, 50, 0 2 -5

For HfCoSi, a crystal structure in the Materials Project, relaxed with PBE gives the theoretical PXRD pattern in this record (Cu Kα (λ = 1.5418 Å)).
Kinematic intensities with the Lorentz-polarization factor, no thermal factor.

Cell and atoms:
Lattice parameters (Å, degrees): 6.3834 3.8271 7.0987 90.00 90.00 90.00
Space group Pnma (No. 62)
One atom of each set of equivalent atoms:
Hf 0.0109 0.2500 0.1906 (multiplicity 4)
Co 0.1466 0.2500 0.5661 (multiplicity 4)
Si 0.2192 0.7500 0.3906 (multiplicity 4)

The 10 most intense peaks (2θ = 10–80°), in order of rising 2θ:
2theta, I/Imax, (hkl)
26.5, 56, 0 1 1
28.0, 29, 2 0 0
37.3, 75, 1 1 2
37.9, 32, 2 0 2
38.9, 100, 2 1 1
40.7, 36, 1 0 3
45.0, 24, 0 1 3
47.5, 29, 0 2 0
64.3, 19, 1 2 3
73.8, 24, 3 1 4

For Hf3Pt, a crystal structure in the Materials Project, relaxed with PBE gives the theoretical PXRD pattern in this record (Cu Kα (λ = 1.5418 Å)).
Kinematic intensities with the Lorentz-polarization factor, no thermal factor.

Cell and atoms:
Lattice parameters (Å, degrees): 5.9886 5.9886 5.1395 90.00 90.00 120.00
Space group P6_3/mmc (No. 194)
One atom of each set of equivalent atoms:
Hf 0.1717 0.3434 0.2500 (multiplicity 6)
Pt 0.3333 0.6667 0.7500 (multiplicity 2)

The 10 most intense peaks (2θ = 10–80°), in order of rising 2θ:
2theta, I/Imax, (hkl)
34.6, 23, 2 0 0
34.9, 30, 0 0 2
38.9, 100, 2 0 1
50.0, 16, 2 0 2
62.0, 17, 2 2 0
65.3, 22, 2 0 3
73.0, 3, 4 0 0
73.2, 21, 2 2 2
73.7, 3, 0 0 4
75.6, 14, 4 0 1

Repeat the seventh record exactly.
For Hf3Pt, a crystal structure in the Materials Project, relaxed with PBE gives the theoretical PXRD pattern in this record (Cu Kα (λ = 1.5418 Å)).
Kinematic intensities with the Lorentz-polarization factor, no thermal factor.

Cell and atoms:
Lattice parameters (Å, degrees): 5.9886 5.9886 5.1395 90.00 90.00 120.00
Space group P6_3/mmc (No. 194)
One atom of each set of equivalent atoms:
Hf 0.1717 0.3434 0.2500 (multiplicity 6)
Pt 0.3333 0.6667 0.7500 (multiplicity 2)

The 10 most intense peaks (2θ = 10–80°), in order of rising 2θ:
2theta, I/Imax, (hkl)
34.6, 23, 2 0 0
34.9, 30, 0 0 2
38.9, 100, 2 0 1
50.0, 16, 2 0 2
62.0, 17, 2 2 0
65.3, 22, 2 0 3
73.0, 3, 4 0 0
73.2, 21, 2 2 2
73.7, 3, 0 0 4
75.6, 14, 4 0 1